Computed powder diffractogram of KSrSmSeO6 for Cu Kα (λ = 1.5418 Å), from a PBE-relaxed structure.

Lattice parameters (Å, degrees): 8.213 8.213 8.213 90.00 90.00 90.00
Space group F-43m (No. 216)
Asymmetric unit:
K (0.000, 0.000, 0.000)
Sr (0.000, 0.000, 0.500)
Sm (0.250, 0.250, 0.750)
Se (0.250, 0.250, 0.250)
O (0.027, 0.250, 0.250)

Top 10 peaks for 2θ = 15–90°, in order of falling intensity:
| h k l | 2θ (°) | d_spacing | I/Imax |
| --- | --- | --- | --- |
| 2 2 0 | 30.79 | 2.904 | 100 |
| 4 2 2 | 54.75 | 1.677 | 38 |
| 4 0 0 | 44.10 | 2.053 | 34 |
| 6 4 2 | 89.24 | 1.098 | 22 |
| 2 0 0 | 21.64 | 4.107 | 21 |
| 4 4 0 | 64.14 | 1.452 | 20 |
| 6 2 0 | 72.83 | 1.299 | 18 |
| 1 1 1 | 18.71 | 4.742 | 10 |
| 3 1 1 | 36.28 | 2.476 | 9 |
| 4 2 0 | 49.64 | 1.837 | 8 |